Computed powder XRD pattern of Nb2InCo2Sb for copper Kα, from a DFT-relaxed cell (PBE, OQMD).
Kinematic intensities with the Lorentz-polarization factor, no thermal factor.

Principal peaks in the range 2θ = 5–70°, most intense first:
d [Å], two_theta, Rel. int., (hkl)
2.105, 43.0, 100, 2 2 0
2.977, 30.0, 41, 2 0 0
1.489, 62.4, 16, 0 0 8
3.438, 25.9, 15, 1 1 2
1.719, 53.3, 11, 2 2 4
1.795, 50.9, 7, 1 1 6
1.366, 68.7, 2, 3 1 6

Structure:
Unit cell a=5.952 b=5.952 c=11.919 alpha=90.00 beta=90.00 gamma=90.00
Space group I-42d (No. 122)
Unique sites:
Nb: 0.000 0.000 0.248 [8 per cell]
In: 0.000 0.000 0.000 [4 per cell]
Co: 0.238 0.250 0.625 [8 per cell]
Sb: 0.000 0.000 0.500 [4 per cell]